1.
Structure and theoretical X-ray powder pattern of Ac3LaPrSm (the GGA-PBE geometry in Alexandria; Cu Kα (λ = 1.5418 Å)).
Intensities are scaled so that the largest is 100.

Structure:
Lattice parameters (Å, degrees): 8.5386 5.4701 10.9203 90.00 108.63 90.00
Space group P2_1/m (No. 11)
Symmetry-distinct sites (fractional):
Ac 0.1753 0.2500 0.0401 x2
Ac 0.1749 0.2500 0.5476 x2
Ac 0.1747 0.7500 0.2931 x2
La 0.1760 0.7500 0.7946 x2
Pr 0.4979 0.7500 0.6284 x2
Sm 0.4989 0.2500 0.8784 x2

Largest 10 diffraction maxima, by angle, 10° ≤ 2θ ≤ 80°:
2θ/deg, d/Å, Rel. int.
28.4, 3.141, 100.0
32.8, 2.733, 34.7
33.2, 2.697, 16.5
47.0, 1.932, 12.9
47.3, 1.920, 12.5
47.4, 1.919, 12.3
55.9, 1.646, 30.8
56.4, 1.630, 14.5
58.8, 1.571, 13.1
76.4, 1.246, 11.9

---

2.
Structure and theoretical X-ray powder pattern of Y5Ru (the GGA-PBE geometry in Alexandria; Cu Kα (λ = 1.5418 Å)).
Intensities are scaled so that the largest is 100.

Structure:
Lattice parameters (Å, degrees): 3.8489 16.3700 5.4869 90.00 90.00 90.00
Space group Cmmm (No. 65)
Symmetry-distinct sites (fractional):
Y 0.0000 0.0000 0.0000 x2
Y 0.0000 0.1251 0.5000 x4
Y 0.0000 0.3324 0.0000 x4
Ru 0.0000 0.5000 0.5000 x2

Largest 10 diffraction maxima, by angle, 10° ≤ 2θ ≤ 80°:
2θ/deg, d/Å, Rel. int.
10.8, 8.185, 12.5
32.6, 2.743, 27.2
32.8, 2.729, 100.0
36.0, 2.494, 7.4
39.7, 2.270, 10.4
47.0, 1.935, 8.7
47.2, 1.924, 9.4
58.4, 1.581, 16.1
58.6, 1.575, 13.6
68.8, 1.364, 7.4

---

- What is the formula in the first record?
  Ac3LaPrSm